Theoretical X-ray diffraction stick pattern
Compound: U2RhS4Br
Radiation: λ = 1.5418 Å (Cu Kα)
Structure: a crystal structure in Alexandria, relaxed with GGA-PBE
No peak broadening, texture or thermal motion is included.

Atomic structure:
Cell lengths 5.819, 5.819, 9.337 Å; angles 114.09, 114.09, 38.75 degrees
Atoms (fractional coordinates):
U  0.194  0.194  0.283
U  0.806  0.806  0.717
Rh  0.000  0.000  0.500
S  0.164  0.164  0.776
S  0.388  0.388  0.575
S  0.612  0.612  0.425
S  0.836  0.836  0.224
Br  0.500  0.500  0.000

Most intense lines, 15° ≤ 2θ ≤ 90°, by angle:
- 2θ = 16.4°, intensity 577
- 2θ = 21.0°, intensity 503
- 2θ = 28.5°, intensity 1000
- 2θ = 30.0°, intensity 387
- 2θ = 33.1°, intensity 293
- 2θ = 33.4°, intensity 692
- 2θ = 33.8°, intensity 391
- 2θ = 35.1°, intensity 823
- 2θ = 35.8°, intensity 350
- 2θ = 37.4°, intensity 372
- 2θ = 46.4°, intensity 323
- 2θ = 47.1°, intensity 293